# 1
This entry pairs a crystal structure of Th3MgPb12 with its simulated X-ray powder pattern. Radiation: Cu Ka. Structure: a structure optimized by DFT (PBE).
Kinematic intensities with the Lorentz-polarization factor, no thermal factor.

Largest 8 diffraction maxima, low angle first, 5° ≤ 2θ ≤ 70°:
2θ = 31.57°, rel. 1000; 2θ = 36.28°, rel. 170; 2θ = 36.78°, rel. 338; 2θ = 52.63°, rel. 240; 2θ = 53.00°, rel. 121; 2θ = 62.34°, rel. 141; 2θ = 63.02°, rel. 289; 2θ = 65.93°, rel. 124

Cell and atoms:
a = 4.887 Å, b = 4.887 Å, c = 19.808 Å
α = 90.00°, β = 90.00°, γ = 90.00°
Space group P4/mmm (No. 123)
One atom of each set of equivalent atoms:
Th1 0.000 0.000 0.000 [1 per cell]
Th2 0.000 0.000 0.243 [2 per cell]
Mg1 0.000 0.000 0.500 [1 per cell]
Pb1 0.000 0.500 0.124 [4 per cell]
Pb2 0.000 0.500 0.379 [4 per cell]
Pb3 0.500 0.500 0.000 [1 per cell]
Pb4 0.500 0.500 0.253 [2 per cell]
Pb5 0.500 0.500 0.500 [1 per cell]

---

# 2
This entry pairs a crystal structure of ThMg2Pb with its simulated X-ray powder pattern. Radiation: Cu Ka. Structure: a structure optimized by DFT (PBE).
Kinematic intensities with the Lorentz-polarization factor, no thermal factor.

Largest 8 diffraction maxima, low angle first, 5° ≤ 2θ ≤ 70°:
2θ = 18.07°, rel. 624; 2θ = 26.89°, rel. 496; 2θ = 32.59°, rel. 1000; 2θ = 38.40°, rel. 323; 2θ = 42.75°, rel. 299; 2θ = 46.01°, rel. 243; 2θ = 54.10°, rel. 244; 2θ = 65.80°, rel. 273

Cell and atoms:
a = 4.688 Å, b = 4.688 Å, c = 4.909 Å
α = 90.00°, β = 90.00°, γ = 90.00°
Space group P4/mmm (No. 123)
One atom of each set of equivalent atoms:
Th1 0.000 0.000 0.000 [1 per cell]
Mg1 0.000 0.500 0.500 [2 per cell]
Pb1 0.500 0.500 0.000 [1 per cell]